Record 1
This entry pairs a crystal structure of Be9Nb2Pd with its theoretical powder XRD pattern. Radiation: Cu Kα (weighted mean of Kα1 and Kα2). Structure: the GGA-PBE geometry in Alexandria.
Lines closer than 0.1° are merged.

Main lines, sorted by position (2θ = 15–90°):
h k l, 2theta, intensity
1 0 0, 22.62, 68
1 0 1, 23.49, 89
0 0 4, 25.23, 48
1 0 4, 34.14, 37
1 0 5, 39.28, 100
1 1 0, 39.72, 81
1 1 4, 47.64, 75
2 0 5, 57.10, 25
1 0 9, 63.89, 24
2 1 5, 71.79, 32

a = 4.5389 Å, b = 4.5389 Å, c = 14.1198 Å
α = 90.00°, β = 90.00°, γ = 120.00°
Space group P6_3/mmc (No. 194)
One atom of each set of equivalent atoms:
Be  0.0000  0.0000  0.0000
Be  0.0000  0.0000  0.2500
Be  0.1662  0.3325  0.1257
Be  0.3333  0.6667  0.2500
Nb  0.3333  0.6667  0.5320
Pd  0.3333  0.6667  0.7500

Record 2
This entry pairs a crystal structure of AgPO2F2 with its theoretical powder XRD pattern. Radiation: Cu Kα (weighted mean of Kα1 and Kα2). Structure: the GGA-PBE geometry in Alexandria.
Lines closer than 0.1° are merged.

Main lines, sorted by position (2θ = 15–90°):
h k l, 2theta, intensity
3 3 -1, 26.05, 22
1 7 0, 26.66, 20
2 2 1, 28.72, 55
0 8 0, 28.89, 100
3 5 -1, 29.84, 13
1 3 -2, 30.18, 15
4 4 -1, 34.54, 42
1 9 -1, 35.56, 21
2 10 -2, 46.44, 18
4 12 -1, 54.88, 17

a = 11.4438 Å, b = 24.7523 Å, c = 6.4402 Å
α = 90.00°, β = 115.95°, γ = 90.00°
Space group C2/c (No. 15)
One atom of each set of equivalent atoms:
Ag  0.0949  0.0601  0.0975
Ag  0.1533  0.1887  0.8722
P  0.0000  0.1860  0.2500
P  0.0000  0.3130  0.7500
P  0.2395  0.0669  0.7084
O  0.0152  0.1555  0.0617
O  0.1243  0.2825  0.8796
O  0.1401  0.0351  0.5088
O  0.2031  0.0938  0.8804
F  0.0185  0.3544  0.5817
F  0.1151  0.2275  0.3639
F  0.1386  0.4699  0.1618
F  0.2002  0.3896  0.3944

Record 3
This entry pairs a crystal structure of BaO5 with its theoretical powder XRD pattern. Radiation: Cu Kα (weighted mean of Kα1 and Kα2). Structure: the GGA-PBE geometry in Alexandria.
Lines closer than 0.1° are merged.

Main lines, sorted by position (2θ = 15–90°):
h k l, 2theta, intensity
2 0 -1, 22.86, 22
1 1 0, 24.44, 69
2 0 0, 26.42, 60
1 1 -2, 30.86, 100
2 0 1, 35.17, 22
0 0 3, 40.01, 19
1 1 2, 41.03, 18
3 1 -1, 41.12, 34
3 1 0, 45.47, 24
2 2 0, 50.07, 21

a = 7.7794 Å, b = 4.3286 Å, c = 7.7949 Å
α = 90.00°, β = 119.85°, γ = 90.00°
Space group Cm (No. 8)
One atom of each set of equivalent atoms:
Ba  0.0000  0.0000  0.0000
O  0.0958  0.5000  0.3355
O  0.1028  0.0000  0.6737
O  0.1718  0.5000  0.9998
O  0.2601  0.0000  0.6640
O  0.4288  0.0000  0.3258

Record 4
This entry pairs a crystal structure of Pr2Sm4As3N2 with its theoretical powder XRD pattern. Radiation: Cu Kα (weighted mean of Kα1 and Kα2). Structure: the GGA-PBE geometry in Alexandria.
Lines closer than 0.1° are merged.

Main lines, sorted by position (2θ = 15–90°):
h k l, 2theta, intensity
1 1 2, 28.01, 64
0 0 8, 29.02, 23
1 1 4, 30.76, 16
1 0 7, 31.87, 15
1 1 6, 34.90, 100
2 0 0, 38.61, 59
2 0 8, 49.01, 22
2 2 0, 55.74, 20
3 1 2, 63.53, 13
3 1 6, 67.48, 30

a = 4.6641 Å, b = 4.6641 Å, c = 24.6181 Å
α = 90.00°, β = 90.00°, γ = 90.00°
Space group I4/mmm (No. 139)
One atom of each set of equivalent atoms:
Pr  0.0000  0.0000  0.1965
Sm  0.0000  0.5000  0.0794
As  0.0000  0.0000  0.3252
As  0.0000  0.0000  0.5000
N  0.0000  0.0000  0.1006

Record 5
This entry pairs a crystal structure of PmHo2PaS4 with its theoretical powder XRD pattern. Radiation: Cu Kα (weighted mean of Kα1 and Kα2). Structure: the GGA-PBE geometry in Alexandria.
Lines closer than 0.1° are merged.

Main lines, sorted by position (2θ = 15–90°):
h k l, 2theta, intensity
0 0 2, 27.51, 23
2 0 0, 27.85, 22
1 1 -1, 28.07, 43
1 1 1, 32.30, 100
2 0 2, 45.81, 12
1 1 -3, 46.11, 24
3 1 -1, 46.54, 24
0 2 0, 46.82, 12
2 2 -2, 58.03, 12
2 2 2, 67.59, 12

a = 6.7723 Å, b = 3.8808 Å, c = 6.8528 Å
α = 90.00°, β = 108.88°, γ = 90.00°
Space group P2/m (No. 10)
One atom of each set of equivalent atoms:
Pm  0.0000  0.0000  0.0000
Ho  0.0000  0.5000  0.5000
Ho  0.5000  0.0000  0.5000
Pa  0.5000  0.5000  0.0000
S  0.2510  0.0000  0.7423
S  0.2580  0.5000  0.2600

Record 6
This entry pairs a crystal structure of ScW3 with its theoretical powder XRD pattern. Radiation: Cu Kα (weighted mean of Kα1 and Kα2). Structure: the GGA-PBE geometry in Alexandria.
Lines closer than 0.1° are merged.

Main lines, sorted by position (2θ = 15–90°):
h k l, 2theta, intensity
1 1 0, 19.33, 31
3 0 0, 33.82, 8
2 2 0, 39.25, 100
0 2 1, 39.63, 97
4 0 1, 57.00, 34
6 0 0, 71.14, 17
2 4 1, 71.39, 35
2 0 2, 72.16, 17
4 4 0, 84.39, 11
0 4 2, 85.36, 11

a = 9.1823 Å, b = 9.1823 Å, c = 2.7728 Å
α = 90.00°, β = 90.00°, γ = 120.00°
Space group R-3m (No. 166, hexagonal axes)
One atom of each set of equivalent atoms:
Sc  0.0000  0.0000  0.0000
W  0.0000  0.5000  0.0000

Record 7
This entry pairs a crystal structure of AcTbDy3Ho with its theoretical powder XRD pattern. Radiation: Cu Kα (weighted mean of Kα1 and Kα2). Structure: the GGA-PBE geometry in Alexandria.
Lines closer than 0.1° are merged.

Main lines, sorted by position (2θ = 15–90°):
h k l, 2theta, intensity
5 1 1, 29.99, 69
3 1 -2, 31.56, 100
4 0 2, 32.16, 67
8 0 -1, 32.30, 32
0 2 0, 33.18, 49
4 2 2, 46.88, 17
8 2 -1, 46.99, 24
1 1 4, 56.58, 15
3 3 -2, 58.27, 18
12 2 1, 62.93, 15

a = 22.9690 Å, b = 5.3999 Å, c = 6.9884 Å
α = 90.00°, β = 98.20°, γ = 90.00°
Space group C2/m (No. 12)
One atom of each set of equivalent atoms:
Ac  0.1270  0.0000  0.4825
Tb  0.0751  0.5000  0.1125
Dy  0.0215  0.0000  0.7833
Dy  0.1808  0.5000  0.7830
Dy  0.2252  0.5000  0.3094
Ho  0.1676  0.0000  0.0223

Record 8
This entry pairs a crystal structure of SnH12C2N6Cl6 with its theoretical powder XRD pattern. Radiation: Cu Kα (weighted mean of Kα1 and Kα2). Structure: the GGA-PBE geometry in Alexandria.
Lines closer than 0.1° are merged.

Main lines, sorted by position (2θ = 15–90°):
h k l, 2theta, intensity
1 1 1, 15.52, 33
1 1 -2, 15.91, 48
1 1 -3, 21.28, 41
2 2 1, 27.20, 100
4 0 -4, 28.01, 89
1 3 2, 36.01, 37
2 2 3, 36.47, 34
5 1 -5, 36.76, 26
4 2 1, 37.30, 32
3 3 2, 43.27, 55

a = 15.1501 Å, b = 8.6876 Å, c = 14.5185 Å
α = 90.00°, β = 118.56°, γ = 90.00°
Space group C2/c (No. 15)
One atom of each set of equivalent atoms:
Sn  0.0000  0.1556  0.2500
H  0.0068  0.4446  0.8631
H  0.0083  0.2443  0.8663
H  0.1244  0.1084  0.6285
H  0.1291  0.4194  0.1384
H  0.2242  0.2083  0.6290
H  0.2275  0.4804  0.6360
C  0.1150  0.3442  0.6333
N  0.0264  0.3445  0.6329
N  0.1587  0.2110  0.6328
N  0.1594  0.4778  0.6340
Cl  0.0837  0.1561  0.1392
Cl  0.1174  0.3585  0.3619
Cl  0.1177  0.0453  0.8635

Record 9
This entry pairs a crystal structure of MnGaPPt with its theoretical powder XRD pattern. Radiation: Cu Kα (weighted mean of Kα1 and Kα2). Structure: the GGA-PBE geometry in Alexandria.
Lines closer than 0.1° are merged.

Main lines, sorted by position (2θ = 15–90°):
h k l, 2theta, intensity
0 0 1, 18.38, 55
2 0 -1, 25.30, 49
2 0 0, 25.89, 25
1 1 0, 29.80, 94
2 0 -2, 36.25, 53
2 0 1, 37.51, 49
1 1 1, 37.90, 100
1 1 -2, 44.01, 62
3 1 -1, 45.64, 75
0 2 0, 55.14, 25

a = 7.4651 Å, b = 3.3311 Å, c = 5.2364 Å
α = 90.00°, β = 112.78°, γ = 90.00°
Space group Cm (No. 8)
One atom of each set of equivalent atoms:
Mn  0.0000  0.0000  0.0000
Ga  0.1040  0.5000  0.6720
P  0.3192  0.0000  0.0784
Pt  0.3278  0.5000  0.4135

Record 10
This entry pairs a crystal structure of FeSeBr7 with its theoretical powder XRD pattern. Radiation: Cu Kα (weighted mean of Kα1 and Kα2). Structure: the GGA-PBE geometry in Alexandria.
Lines closer than 0.1° are merged.

Main lines, sorted by position (2θ = 15–90°):
h k l, 2theta, intensity
1 0 -2, 15.60, 54
1 1 0, 17.59, 37
0 1 2, 18.47, 32
1 1 2, 23.78, 100
0 2 1, 26.66, 42
2 1 -1, 26.79, 42
1 1 3, 28.85, 28
2 1 1, 29.58, 34
1 1 -5, 35.33, 29
3 0 -6, 48.06, 25

a = 7.6005 Å, b = 6.9087 Å, c = 13.7667 Å
α = 90.00°, β = 103.93°, γ = 90.00°
Space group Pc (No. 7)
One atom of each set of equivalent atoms:
Fe  0.0000  0.0085  0.0000
Se  0.3341  0.3950  0.1546
Br  0.0011  0.1486  0.1574
Br  0.2807  0.1086  0.9686
Br  0.2854  0.3990  0.7836
Br  0.5292  0.1608  0.2555
Br  0.5552  0.4248  0.5969
Br  0.7616  0.1408  0.8756
Br  0.9734  0.3274  0.5025

Record 11
This entry pairs a crystal structure of Ga with its theoretical powder XRD pattern. Radiation: Cu Kα (weighted mean of Kα1 and Kα2). Structure: the GGA-PBE geometry in Alexandria.
Lines closer than 0.1° are merged.

Main lines, sorted by position (2θ = 15–90°):
h k l, 2theta, intensity
2 1 1, 36.12, 100
2 2 0, 41.95, 11
3 1 0, 47.19, 31
3 2 1, 56.53, 18
4 0 0, 60.83, 2
4 2 0, 68.95, 19
3 3 2, 72.83, 12
4 2 2, 76.64, 3
5 1 0, 80.39, 18
5 2 1, 87.77, 5

a = 6.0910 Å, b = 6.0910 Å, c = 6.0910 Å
α = 90.00°, β = 90.00°, γ = 90.00°
Space group I-43d (No. 220)
One atom of each set of equivalent atoms:
Ga  0.0000  0.2500  0.3750